No. 1
# NdPO3
Computed PXRD pattern, CuKα. Input: a crystal structure in Alexandria, relaxed with PBE.
Kinematic intensities with the Lorentz-polarization factor, no thermal factor.

Principal peaks in the range 2θ from 10° to 90°, in order of rising 2θ:
21.3°, I 26; 21.8°, I 52; 24.2°, I 43; 30.6°, I 100; 46.8°, I 27; 49.7°, I 25

Structural model:
a = 8.3407 Å, b = 4.4196 Å, c = 4.4196 Å
α = 112.47°, β = 90.00°, γ = 90.00°
Sites, in units of the cell vectors:
Nd 0.0000 0.0000 0.0000
Nd 0.5000 0.0000 0.0000
P 0.2500 0.5147 0.3633
P 0.7500 0.3633 0.5147
O 0.0926 0.5730 0.1833
O 0.2500 0.8213 0.7088
O 0.4074 0.5730 0.1833
O 0.5926 0.1833 0.5730
O 0.7500 0.7088 0.8213
O 0.9074 0.1833 0.5730

***

No. 2
# Mg2Sc5
Computed PXRD pattern, CuKα. Input: a crystal structure in Alexandria, relaxed with PBE.
Kinematic intensities with the Lorentz-polarization factor, no thermal factor.

Principal peaks in the range 2θ from 10° to 90°, in order of rising 2θ:
34.4°, I 52; 35.1°, I 100; 49.4°, I 17; 62.0°, I 32; 63.3°, I 15; 74.1°, I 9

Structural model:
a = 12.7124 Å, b = 12.7124 Å, c = 12.7124 Å
α = 163.32°, β = 163.32°, γ = 23.68°
Sites, in units of the cell vectors:
Mg 0.2156 0.2156 0.0000
Mg 0.7844 0.7844 0.0000
Sc 0.0695 0.0695 0.0000
Sc 0.3573 0.3573 0.0000
Sc 0.5000 0.5000 0.0000
Sc 0.6427 0.6427 0.0000
Sc 0.9305 0.9305 0.0000

***

No. 3
# Sn3Se
Computed PXRD pattern, CuKα. Input: a crystal structure in Alexandria, relaxed with PBE.
Kinematic intensities with the Lorentz-polarization factor, no thermal factor.

Principal peaks in the range 2θ from 10° to 90°, in order of rising 2θ:
29.1°, I 100; 29.6°, I 51; 42.0°, I 95; 51.6°, I 17; 52.1°, I 22; 69.4°, I 18

Structural model:
a = 4.3132 Å, b = 6.0366 Å, c = 4.3734 Å
α = 90.00°, β = 90.00°, γ = 90.00°
Sites, in units of the cell vectors:
Sn 0.0000 0.0000 0.0000
Sn 0.0000 0.5000 0.1004
Sn 0.5000 0.0000 0.5132
Se 0.5000 0.5000 0.5192

***

No. 4
# La8TbNd4
Computed PXRD pattern, CuKα. Input: a crystal structure in Alexandria, relaxed with PBE.
Kinematic intensities with the Lorentz-polarization factor, no thermal factor.

Principal peaks in the range 2θ from 10° to 90°, in order of rising 2θ:
22.3°, I 29; 26.9°, I 19; 29.9°, I 100; 37.6°, I 45; 53.1°, I 20; 55.4°, I 18

Structural model:
a = 7.9652 Å, b = 7.9652 Å, c = 7.9652 Å
α = 97.09°, β = 97.09°, γ = 97.09°
Sites, in units of the cell vectors:
La 0.1698 0.1698 0.6724
La 0.1698 0.6724 0.1698
La 0.2386 0.2386 0.2386
La 0.3276 0.8302 0.8302
La 0.6724 0.1698 0.1698
La 0.7614 0.7614 0.7614
La 0.8302 0.3276 0.8302
La 0.8302 0.8302 0.3276
Tb 0.5000 0.5000 0.5000
Nd 0.0000 0.0000 0.0000
Nd 0.0000 0.5000 0.5000
Nd 0.5000 0.0000 0.5000
Nd 0.5000 0.5000 0.0000